Theoretical powder X-ray diffraction pattern
Compound: NdErFe17
Radiation: Cu Kα, 1.54184 Å
Structure: a PBE-relaxed structure

Structural model:
Cell: 6.427 6.427 6.427 Å, 82.95 82.95 82.95°
Fractional positions:
1 Nd 0.000 0.000 0.000
2 Er 0.684 0.684 0.684
3 Fe 0.050 0.344 0.634
4 Fe 0.050 0.634 0.344
5 Fe 0.188 0.685 0.685
6 Fe 0.246 0.246 0.246
7 Fe 0.344 0.050 0.634
8 Fe 0.344 0.344 0.842
9 Fe 0.344 0.634 0.050
10 Fe 0.344 0.842 0.344
11 Fe 0.440 0.440 0.440
12 Fe 0.499 0.999 0.999
13 Fe 0.634 0.050 0.344
14 Fe 0.634 0.344 0.050
15 Fe 0.685 0.188 0.685
16 Fe 0.685 0.685 0.188
17 Fe 0.842 0.344 0.344
18 Fe 0.999 0.499 0.999
19 Fe 0.999 0.999 0.499

Top 8 peaks for 2θ from 5° to 70°, by angle:
- 2.968 Å, I = 40
- 2.458 Å, I = 42
- 2.375 Å, I = 28
- 2.128 Å, I = 62
- 2.114 Å, I = 100
- 2.072 Å, I = 50
- 1.893 Å, I = 19
- 1.485 Å, I = 27

Theoretical powder X-ray diffraction pattern
Compound: Nd3ErFe34
Radiation: Cu Kα, 1.54184 Å
Structure: a PBE-relaxed structure

Structural model:
Cell: 6.411 6.411 12.809 Å, 96.98 96.98 82.85°
Fractional positions:
1 Nd 0.000 0.000 0.000
2 Nd 0.001 0.001 0.498
3 Nd 0.316 0.316 0.841
4 Er 0.316 0.316 0.342
5 Fe 0.000 0.000 0.746
6 Fe 0.000 0.504 0.000
7 Fe 0.001 0.506 0.499
8 Fe 0.004 0.004 0.250
9 Fe 0.160 0.657 0.669
10 Fe 0.160 0.658 0.173
11 Fe 0.315 0.812 0.840
12 Fe 0.316 0.316 0.096
13 Fe 0.318 0.318 0.591
14 Fe 0.318 0.810 0.344
15 Fe 0.367 0.951 0.173
16 Fe 0.369 0.659 0.026
17 Fe 0.370 0.944 0.667
18 Fe 0.380 0.648 0.528
19 Fe 0.504 0.000 0.000
20 Fe 0.506 0.001 0.499
21 Fe 0.561 0.561 0.221
22 Fe 0.564 0.564 0.720
23 Fe 0.648 0.380 0.528
24 Fe 0.657 0.160 0.669
25 Fe 0.657 0.657 0.422
26 Fe 0.657 0.947 0.316
27 Fe 0.657 0.949 0.815
28 Fe 0.658 0.160 0.173
29 Fe 0.659 0.369 0.026
30 Fe 0.659 0.659 0.921
31 Fe 0.755 0.755 0.124
32 Fe 0.756 0.756 0.624
33 Fe 0.810 0.318 0.344
34 Fe 0.812 0.315 0.840
35 Fe 0.944 0.370 0.667
36 Fe 0.947 0.657 0.316
37 Fe 0.949 0.656 0.815
38 Fe 0.951 0.367 0.173

Top 8 peaks for 2θ from 5° to 70°, by angle:
- 2.960 Å, I = 61
- 2.451 Å, I = 61
- 2.368 Å, I = 43
- 2.123 Å, I = 97
- 2.108 Å, I = 100
- 2.106 Å, I = 49
- 2.064 Å, I = 49
- 1.888 Å, I = 31

Theoretical powder X-ray diffraction pattern
Compound: ErFeNi4
Radiation: Cu Kα, 1.54184 Å
Structure: a PBE-relaxed structure

Structural model:
Cell: 4.889 4.889 3.912 Å, 90.00 90.00 120.00°
Fractional positions:
1 Er 0.000 0.000 0.000
2 Fe 0.667 0.333 0.000
3 Ni 0.000 0.500 0.500
4 Ni 0.333 0.667 0.000
5 Ni 0.500 0.000 0.500
6 Ni 0.500 0.500 0.500

Top 8 peaks for 2θ from 5° to 70°, by angle:
- 2.873 Å, I = 57
- 2.444 Å, I = 33
- 2.117 Å, I = 38
- 2.073 Å, I = 100
- 1.956 Å, I = 26
- 1.527 Å, I = 15
- 1.481 Å, I = 16
- 1.437 Å, I = 21

Theoretical powder X-ray diffraction pattern
Compound: ErFe5P3
Radiation: Cu Kα, 1.54184 Å
Structure: a PBE-relaxed structure

Structural model:
Cell: 11.772 3.636 10.234 Å, 90.00 90.00 90.00°
Fractional positions:
1 Er 0.205 0.250 0.081
2 Er 0.295 0.750 0.581
3 Er 0.705 0.250 0.419
4 Er 0.795 0.750 0.919
5 Fe 0.010 0.750 0.095
6 Fe 0.012 0.750 0.708
7 Fe 0.067 0.750 0.464
8 Fe 0.176 0.250 0.780
9 Fe 0.201 0.250 0.377
10 Fe 0.299 0.750 0.877
11 Fe 0.324 0.750 0.280
12 Fe 0.433 0.250 0.964
13 Fe 0.488 0.250 0.208
14 Fe 0.490 0.250 0.595
15 Fe 0.510 0.750 0.405
16 Fe 0.512 0.750 0.792
17 Fe 0.567 0.750 0.036
18 Fe 0.676 0.250 0.720
19 Fe 0.701 0.250 0.123
20 Fe 0.799 0.750 0.623
21 Fe 0.824 0.750 0.220
22 Fe 0.933 0.250 0.536
23 Fe 0.988 0.250 0.292
24 Fe 0.990 0.250 0.905
25 P 0.104 0.750 0.899
26 P 0.113 0.250 0.579
27 P 0.129 0.750 0.265
28 P 0.371 0.250 0.765
29 P 0.387 0.750 0.079
30 P 0.396 0.250 0.399
31 P 0.604 0.750 0.601
32 P 0.613 0.250 0.921
33 P 0.629 0.750 0.235
34 P 0.871 0.250 0.735
35 P 0.887 0.750 0.421
36 P 0.896 0.250 0.101

Top 8 peaks for 2θ from 5° to 70°, by angle:
- 3.290 Å, I = 21
- 2.500 Å, I = 16
- 2.365 Å, I = 18
- 2.292 Å, I = 100
- 2.288 Å, I = 53
- 2.230 Å, I = 25
- 1.818 Å, I = 31
- 1.701 Å, I = 21

Theoretical powder X-ray diffraction pattern
Compound: ErFe10Re2
Radiation: Cu Kα, 1.54184 Å
Structure: a PBE-relaxed structure

Structural model:
Cell: 6.473 6.473 6.473 Å, 137.46 98.19 96.94°
Fractional positions:
1 Er 0.000 0.000 0.000
2 Fe 0.000 0.000 0.500
3 Fe 0.000 0.500 0.000
4 Fe 0.220 0.500 0.720
5 Fe 0.228 0.728 0.500
6 Fe 0.359 0.000 0.359
7 Fe 0.500 0.000 0.000
8 Fe 0.500 0.500 0.500
9 Fe 0.641 0.000 0.641
10 Fe 0.772 0.272 0.500
11 Fe 0.780 0.500 0.280
12 Re 0.357 0.357 0.000
13 Re 0.643 0.643 0.000

Top 8 peaks for 2θ from 5° to 70°, by angle:
- 4.109 Å, I = 51
- 2.711 Å, I = 27
- 2.444 Å, I = 39
- 2.421 Å, I = 43
- 2.348 Å, I = 25
- 2.118 Å, I = 100
- 2.109 Å, I = 22
- 2.054 Å, I = 44

Theoretical powder X-ray diffraction pattern
Compound: ErFeRu
Radiation: Cu Kα, 1.54184 Å
Structure: a PBE-relaxed structure

Structural model:
Cell: 5.231 5.231 5.231 Å, 121.34 118.41 90.24°
Fractional positions:
1 Er 0.375 0.125 0.250
2 Er 0.625 0.875 0.750
3 Fe 0.000 0.000 0.500
4 Fe 0.000 0.500 0.000
5 Ru 0.000 0.500 0.500
6 Ru 0.500 0.500 0.000

Top 8 peaks for 2θ from 5° to 70°, by angle:
- 2.614 Å, I = 86
- 2.562 Å, I = 32
- 2.260 Å, I = 100
- 2.236 Å, I = 31
- 2.218 Å, I = 48
- 2.206 Å, I = 60
- 2.168 Å, I = 24
- 1.414 Å, I = 22

Theoretical powder X-ray diffraction pattern
Compound: Er4FeS7
Radiation: Cu Kα, 1.54184 Å
Structure: a PBE-relaxed structure

Structural model:
Cell: 6.462 6.462 11.365 Å, 103.79 103.79 33.86°
Fractional positions:
1 Er 0.000 0.000 0.000
2 Er 0.390 0.390 0.596
3 Er 0.583 0.583 0.359
4 Er 0.696 0.696 0.800
5 Fe 0.806 0.806 0.217
6 S 0.035 0.035 0.743
7 S 0.204 0.204 0.288
8 S 0.357 0.357 0.846
9 S 0.425 0.425 0.149
10 S 0.662 0.662 0.021
11 S 0.732 0.732 0.578
12 S 0.950 0.950 0.433

Top 8 peaks for 2θ from 5° to 70°, by angle:
- 3.626 Å, I = 100
- 3.547 Å, I = 94
- 3.090 Å, I = 46
- 2.772 Å, I = 45
- 2.738 Å, I = 47
- 2.638 Å, I = 54
- 2.557 Å, I = 57
- 1.882 Å, I = 82

Theoretical powder X-ray diffraction pattern
Compound: Er2FeSi2
Radiation: Cu Kα, 1.54184 Å
Structure: a PBE-relaxed structure

Structural model:
Cell: 5.585 5.585 9.875 Å, 116.90 116.90 43.25°
Fractional positions:
1 Er 0.001 0.001 0.172
2 Er 0.188 0.188 0.609
3 Er 0.812 0.812 0.391
4 Er 0.999 0.999 0.828
5 Fe 0.271 0.271 0.125
6 Fe 0.729 0.729 0.875
7 Si 0.347 0.347 0.936
8 Si 0.499 0.499 0.626
9 Si 0.501 0.501 0.374
10 Si 0.653 0.653 0.064

Top 8 peaks for 2θ from 5° to 70°, by angle:
- 3.749 Å, I = 97
- 3.246 Å, I = 70
- 2.631 Å, I = 88
- 2.604 Å, I = 64
- 2.584 Å, I = 100
- 2.542 Å, I = 88
- 2.374 Å, I = 61
- 2.058 Å, I = 65